# La3Pm2Tm8
Simulated XRD peak list, a wavelength of 1.5418 Å. Input: the PBE geometry in Alexandria.
No peak broadening, texture or thermal motion is included.

Cell and atoms:
```
data_La3Pm2Tm8
_chemical_formula_sum 'La3 Pm2 Tm8'
_cell_length_a 7.702
_cell_length_b 5.605
_cell_length_c 10.891
_cell_angle_alpha 90.00
_cell_angle_beta 110.66
_cell_angle_gamma 90.00
_space_group_name_H-M_alt 'P 1 2/m 1'
_space_group_IT_number 10
loop_
_space_group_symop_operation_xyz
'x,y,z'
'-x,-y,-z'
'-x,y,-z'
'x,-y,z'
loop_
_atom_site_label
_atom_site_type_symbol
_atom_site_fract_x
_atom_site_fract_y
_atom_site_fract_z
_atom_site_occupancy
La1 La 0.000 0.000 0.000 1
La2 La 0.300 0.500 0.000 1
Pm1 Pm 0.241 0.000 0.481 1
Tm1 Tm 0.134 0.500 0.268 1
Tm2 Tm 0.182 0.000 0.780 1
Tm3 Tm 0.333 0.500 0.665 1
Tm4 Tm 0.401 0.000 0.220 1
```

Largest 10 diffraction maxima, sorted by position, 2θ from 10° to 90°:
(hkl)	2θ (°)	d [Å]	I_rel
2 0 0	24.71	3.603	37
1 1 -3	29.47	3.031	66
0 1 3	30.78	2.905	66
0 2 0	31.93	2.803	83
2 1 1	33.24	2.695	100
2 1 -3	33.26	2.693	99
0 0 4	35.23	2.548	49
0 2 4	48.28	1.885	41
2 3 1	57.75	1.596	41
3 2 -6	64.12	1.452	25